# 1
For Hf6Al2Fe, a crystal structure in the Materials Project, relaxed with PBE gives the simulated XRD peak list in this record (Cu Kα).
Intensities are scaled so that the largest is 100.

Structural model:
Cell: 7.8627 7.8627 3.2660 Å, 90.00 90.00 120.00°
Space group P-62m (No. 189)
Inequivalent atoms, fractional coordinates:
1 Hf 0.0000 0.3961 0.0000 [3 per cell]
2 Hf 0.0000 0.7502 0.5000 [3 per cell]
3 Al 0.3333 0.6667 0.5000 [2 per cell]
4 Fe 0.0000 0.0000 0.0000 [1 per cell]

Most intense lines, 2θ = 10–90°, low angle first:
Position (°2θ)  Rel. int.  h k l
22.62  25  1 1 0
34.86  72  2 1 0
35.74  100  1 1 1
38.18  43  2 0 1
39.71  25  3 0 0
44.84  14  2 1 1
56.29  35  0 0 2
61.43  16  4 0 1
66.33  25  3 2 1
67.99  21  2 1 2



# 2
For Ho2Al3Fe, a crystal structure in the Materials Project, relaxed with PBE gives the simulated XRD peak list in this record (Cu Kα).
Intensities are scaled so that the largest is 100.

Structural model:
Cell: 5.5058 5.5058 13.0301 Å, 90.00 90.00 120.00°
Space group R-3m (No. 166, hexagonal axes)
Inequivalent atoms, fractional coordinates:
1 Ho 0.0000 0.0000 0.1264 [6 per cell]
2 Al 0.0000 0.5000 0.0000 [9 per cell]
3 Fe 0.0000 0.0000 0.5000 [3 per cell]

Most intense lines, 2θ = 10–90°, low angle first:
Position (°2θ)  Rel. int.  h k l
19.83  50  1 0 1
20.45  37  0 0 3
32.52  99  1 1 0
33.31  62  1 0 4
38.38  31  0 2 1
38.73  100  1 1 3
39.40  43  0 1 5
58.53  26  2 1 4
62.20  24  3 0 3
62.68  21  1 2 5



# 3
For HoAl8Fe4, a crystal structure in the Materials Project, relaxed with PBE gives the simulated XRD peak list in this record (Cu Kα).
Intensities are scaled so that the largest is 100.

Structural model:
Cell: 8.688 8.688 5.020 Å, 90.00 90.00 90.00°
Space group I4/mmm (No. 139)
Inequivalent atoms, fractional coordinates:
1 Ho 0.000 0.000 0.000 [2 per cell]
2 Al 0.000 0.221 0.500 [8 per cell]
3 Al 0.000 0.340 0.000 [8 per cell]
4 Fe 0.250 0.250 0.250 [8 per cell]

Most intense lines, 2θ = 10–90°, low angle first:
Position (°2θ)  Rel. int.  h k l
14.42  22  1 1 0
20.43  21  1 0 1
29.07  44  2 2 0
32.59  12  3 1 0
35.80  21  3 0 1
41.57  100  4 0 0
46.75  11  2 2 2
60.24  26  4 4 0
68.26  17  6 2 0
75.85  20  0 0 4



# 4
For LaAl8Fe2, a crystal structure in the Materials Project, relaxed with PBE gives the simulated XRD peak list in this record (Cu Kα).
Intensities are scaled so that the largest is 100.

Structural model:
Cell: 12.619 14.414 4.054 Å, 90.00 90.00 90.00°
Space group Pbam (No. 55)
Inequivalent atoms, fractional coordinates:
1 La 0.160 0.181 0.000 [4 per cell]
2 Al 0.000 0.000 0.000 [2 per cell]
3 Al 0.000 0.500 0.500 [2 per cell]
4 Al 0.027 0.868 0.500 [4 per cell]
5 Al 0.048 0.322 0.500 [4 per cell]
6 Al 0.094 0.746 0.000 [4 per cell]
7 Al 0.158 0.620 0.500 [4 per cell]
8 Al 0.165 0.454 0.000 [4 per cell]
9 Al 0.168 0.006 0.500 [4 per cell]
10 Al 0.234 0.829 0.500 [4 per cell]
11 Fe 0.034 0.590 0.000 [4 per cell]
12 Fe 0.149 0.902 0.000 [4 per cell]

Most intense lines, 2θ = 10–90°, low angle first:
Position (°2θ)  Rel. int.  h k l
21.97  79  0 0 1
23.27  20  2 3 0
25.71  25  1 4 0
28.21  29  3 3 0
34.04  68  1 4 1
36.01  100  3 3 1
36.63  36  4 1 1
43.79  36  5 4 0
44.71  44  0 0 2
46.38  28  2 7 0



# 5
For La6Al3Fe11, a crystal structure in the Materials Project, relaxed with PBE gives the simulated XRD peak list in this record (Cu Kα).
Intensities are scaled so that the largest is 100.

Structural model:
Cell: 8.150 8.150 23.877 Å, 90.00 90.00 90.00°
Space group I4cm (No. 108)
Inequivalent atoms, fractional coordinates:
1 La 0.000 0.000 0.000 [4 per cell]
2 La 0.000 0.000 0.211 [4 per cell]
3 La 0.168 0.332 0.291 [8 per cell]
4 La 0.169 0.331 0.917 [8 per cell]
5 Al 0.000 0.000 0.356 [4 per cell]
6 Al 0.118 0.382 0.515 [8 per cell]
7 Fe 0.000 0.500 0.107 [4 per cell]
8 Fe 0.069 0.211 0.606 [16 per cell]
9 Fe 0.113 0.387 0.697 [8 per cell]
10 Fe 0.176 0.324 0.051 [8 per cell]
11 Fe 0.179 0.321 0.163 [8 per cell]

Most intense lines, 2θ = 10–90°, low angle first:
Position (°2θ)  Rel. int.  h k l
26.90  100  2 1 3
30.86  89  2 1 5
31.04  32  2 2 0
34.81  83  3 1 0
37.35  71  2 0 8
38.03  48  3 1 4
42.13  51  2 1 9
46.07  55  4 1 1
49.92  42  4 1 5
57.01  37  3 3 8



# 6
For La6AlFe13, a crystal structure in the Materials Project, relaxed with PBE gives the simulated XRD peak list in this record (Cu Kα).
Intensities are scaled so that the largest is 100.

Structural model:
Cell: 8.086 8.086 23.743 Å, 90.00 90.00 90.00°
Space group I4/mcm (No. 140)
Inequivalent atoms, fractional coordinates:
1 La 0.000 0.000 0.107 [8 per cell]
2 La 0.164 0.336 0.186 [16 per cell]
3 Al 0.000 0.000 0.250 [4 per cell]
4 Fe 0.000 0.500 0.000 [4 per cell]
5 Fe 0.067 0.209 0.500 [16 per cell]
6 Fe 0.113 0.387 0.408 [16 per cell]
7 Fe 0.178 0.322 0.058 [16 per cell]

Most intense lines, 2θ = 10–90°, low angle first:
Position (°2θ)  Rel. int.  h k l
27.11  99  2 1 3
31.09  100  2 1 5
34.04  35  1 1 8
35.09  88  3 1 0
37.60  68  2 0 8
38.33  55  3 1 4
42.41  59  2 1 9
46.46  53  4 1 1
50.33  31  4 1 5
57.47  36  3 3 8



# 7
For La3AlFeS7, a crystal structure in the Materials Project, relaxed with PBE gives the simulated XRD peak list in this record (Cu Kα).
Intensities are scaled so that the largest is 100.

Structural model:
Cell: 10.2258 10.2258 5.9954 Å, 90.00 90.00 120.00°
Space group P6_3 (No. 173)
Inequivalent atoms, fractional coordinates:
1 La 0.1422 0.7666 0.0000 [6 per cell]
2 Al 0.3333 0.6667 0.5804 [2 per cell]
3 Fe 0.0000 0.0000 0.2224 [2 per cell]
4 S 0.0890 0.8569 0.4586 [6 per cell]
5 S 0.0998 0.5193 0.7247 [6 per cell]
6 S 0.3333 0.6667 0.2106 [2 per cell]

Most intense lines, 2θ = 10–90°, low angle first:
Position (°2θ)  Rel. int.  h k l
17.87  45  1 0 1
22.86  33  1 1 1
25.00  100  2 0 1
26.63  45  2 1 0
33.85  47  3 0 1
35.10  37  2 2 0
36.19  48  2 0 2
39.66  46  1 3 1
40.39  36  2 1 2
49.56  31  4 1 1



# 8
For LuAl8Fe4, a crystal structure in the Materials Project, relaxed with PBE gives the simulated XRD peak list in this record (Cu Kα).
Intensities are scaled so that the largest is 100.

Structural model:
Cell: 8.654 8.654 5.013 Å, 90.00 90.00 90.00°
Space group I4/mmm (No. 139)
Inequivalent atoms, fractional coordinates:
1 Lu 0.000 0.000 0.000 [2 per cell]
2 Al 0.000 0.219 0.500 [8 per cell]
3 Al 0.000 0.339 0.000 [8 per cell]
4 Fe 0.250 0.250 0.250 [8 per cell]

Most intense lines, 2θ = 10–90°, low angle first:
Position (°2θ)  Rel. int.  h k l
14.48  34  1 1 0
20.48  31  1 0 1
29.17  63  2 2 0
32.72  18  3 1 0
35.91  31  3 0 1
41.68  100  2 0 2
41.75  38  4 0 0
60.47  32  4 4 0
68.58  14  6 2 0
76.17  24  6 0 2